Computed XRD peak list
Compound: Ce2Nd2Se7
Radiation: CuKα
Structure: DFT lattice parameters and positions (GGA-PBE)
No peak broadening, texture or thermal motion is included.

Top 10 peaks for 2θ from 10° to 90°, by angle:
d/Å  Rel. int.
3.913  35
3.804  17
3.029  26
2.657  100
2.624  27
2.474  20
2.347  51
2.180  27
2.089  31
1.535  22

Structural model:
```
Ce2Nd2Se7
1.0
-2.0888 7.4234 4.6049
2.0888 -7.4234 4.6049
2.0888 7.4234 -4.6049
Ce Nd Se
2 2 7
direct
0.2397 0.0000 0.2397
0.7603 0.0000 0.7603
0.3030 0.8030 0.5000
0.7555 0.7555 0.0000
0.0088 0.6953 0.3135
0.0751 0.0751 0.0000
0.3659 0.4792 0.8867
0.3818 0.6953 0.6865
0.5925 0.4792 0.1133
0.6667 0.3086 0.3580
0.9506 0.3086 0.6420
```